# 1
# V3CdO7
Computed X-ray diffraction stick pattern, Cu Kα (weighted mean of Kα1 and Kα2). Input: a crystal structure in Alexandria, relaxed with PBE+U.
Lines closer than 0.1° are merged.

Crystal structure
Cell: 10.6871 10.4555 5.3801 Å, 90.00 90.00 90.00°
Space group Pnma (No. 62)
Symmetry-distinct sites (fractional):
V  0.1864  0.0244  0.2053 (multiplicity 8)
V  0.2161  0.2500  0.6970 (multiplicity 4)
Cd  0.0777  0.7500  0.6785 (multiplicity 4)
O  0.0406  0.0793  0.2224 (multiplicity 8)
O  0.0611  0.2500  0.6809 (multiplicity 4)
O  0.2187  0.6182  0.9647 (multiplicity 8)
O  0.2215  0.6190  0.4405 (multiplicity 8)

Peak list (6 most intense, 2θ = 10–80°, in order of rising 2θ)
- (0 1 1), 18.53°, 4.789 Å, I 23
- (2 2 0), 23.81°, 3.737 Å, I 17
- (2 1 1), 24.98°, 3.564 Å, I 38
- (1 2 1), 25.17°, 3.538 Å, I 18
- (2 2 1), 29.10°, 3.069 Å, I 100
- (0 4 0), 34.33°, 2.612 Å, I 22

# 2
# V4CdO8
Computed X-ray diffraction stick pattern, Cu Kα (weighted mean of Kα1 and Kα2). Input: a crystal structure in Alexandria, relaxed with PBE+U.
Lines closer than 0.1° are merged.

Crystal structure
Cell: 6.1864 6.3810 8.2927 Å, 90.00 90.00 90.00°
Space group Imm2 (No. 44)
Symmetry-distinct sites (fractional):
V  0.0000  0.2452  0.0000 (multiplicity 4)
V  0.2451  0.5000  0.7688 (multiplicity 4)
Cd  0.0000  0.5000  0.3766 (multiplicity 2)
O  0.0000  0.2051  0.2457 (multiplicity 4)
O  0.0000  0.2978  0.7637 (multiplicity 4)
O  0.2131  0.0000  0.0253 (multiplicity 4)
O  0.2179  0.5000  0.9869 (multiplicity 4)

Peak list (6 most intense, 2θ = 10–80°, in order of rising 2θ)
- (1 1 0), 19.99°, 4.442 Å, I 66
- (1 1 2), 29.47°, 3.031 Å, I 57
- (1 2 1), 33.40°, 2.683 Å, I 98
- (2 1 1), 33.97°, 2.639 Å, I 100
- (1 0 3), 35.55°, 2.526 Å, I 73
- (2 2 4), 61.15°, 1.515 Å, I 68